Entry 1:
La3Pr5Dy3: simulated powder diffraction line list (a wavelength of 1.5418 Å), based on the PBE geometry in Alexandria.

Cell and atoms:
```
La3Pr5Dy3
1.0
9.316 -5.817 0.000
9.316 5.817 0.000
-0.001 0.000 3.651
La Pr Dy
3 5 3
direct
0.000 0.000 0.000
0.236 0.248 0.500
0.752 0.764 0.500
0.065 0.617 0.999
0.383 0.935 0.001
0.602 0.074 0.998
0.716 0.284 0.500
0.926 0.398 0.002
0.278 0.722 0.500
0.404 0.418 0.000
0.582 0.596 0.000
```

The 8 most intense peaks (2θ from 5° to 70°), sorted by position:
two_theta, d_spacing, I/Imax
30.46, 2.935, 100
30.74, 2.908, 45
31.13, 2.873, 41
32.69, 2.739, 57
44.31, 2.044, 23
49.96, 1.826, 17
57.77, 1.596, 30
61.00, 1.519, 22


Entry 2:
La2Pr6Dy5: simulated powder diffraction line list (a wavelength of 1.5418 Å), based on the PBE geometry in Alexandria.

Cell and atoms:
```
La2Pr6Dy5
1.0
11.971 0.000 0.000
0.000 20.747 0.000
0.000 0.000 3.687
La Pr Dy
4 12 10
direct
0.167 0.217 0.000
0.333 0.717 0.000
0.667 0.283 0.000
0.833 0.783 0.000
0.059 0.923 0.000
0.079 0.636 0.000
0.179 0.375 0.500
0.321 0.875 0.500
0.421 0.136 0.000
0.441 0.423 0.000
0.559 0.577 0.000
0.579 0.864 0.000
0.679 0.125 0.500
0.821 0.625 0.500
0.921 0.364 0.000
0.941 0.077 0.000
0.000 0.500 0.500
0.093 0.779 0.500
0.200 0.055 0.500
0.300 0.555 0.500
0.407 0.279 0.500
0.500 0.000 0.500
0.593 0.721 0.500
0.700 0.445 0.500
0.800 0.945 0.500
0.907 0.221 0.500
```

The 8 most intense peaks (2θ from 5° to 70°), sorted by position:
two_theta, d_spacing, I/Imax
30.17, 2.962, 55
30.67, 2.915, 47
31.09, 2.877, 98
31.29, 2.859, 100
33.36, 2.686, 41
34.30, 2.614, 27
55.28, 1.662, 32
59.56, 1.552, 31


Entry 3:
LaPr12Dy5: simulated powder diffraction line list (a wavelength of 1.5418 Å), based on the PBE geometry in Alexandria.

Cell and atoms:
```
LaPr12Dy5
1.0
7.780 -7.795 0.000
7.780 7.795 0.000
0.000 0.000 5.200
La Pr Dy
1 12 5
direct
0.000 0.000 0.000
0.002 0.667 0.000
0.167 0.167 0.500
0.170 0.502 0.500
0.333 0.998 0.000
0.336 0.336 0.000
0.498 0.830 0.500
0.502 0.170 0.500
0.664 0.664 0.000
0.667 0.002 0.000
0.830 0.498 0.500
0.833 0.833 0.500
0.998 0.333 0.000
0.168 0.832 0.500
0.333 0.667 0.000
0.500 0.500 0.500
0.667 0.333 0.000
0.832 0.168 0.500
```

The 6 most intense peaks (2θ from 5° to 70°), sorted by position:
two_theta, d_spacing, I/Imax
29.79, 2.999, 100
34.53, 2.597, 51
49.64, 1.836, 36
58.94, 1.567, 29
59.05, 1.564, 14
61.88, 1.499, 12


Entry 4:
LaPr3Dy6: simulated powder diffraction line list (a wavelength of 1.5418 Å), based on the PBE geometry in Alexandria.

Cell and atoms:
```
LaPr3Dy6
1.0
6.846 -7.252 0.000
6.846 7.252 0.000
0.000 0.000 6.956
La Pr Dy
2 6 12
direct
0.191 0.809 0.500
0.809 0.191 0.000
0.172 0.243 0.535
0.243 0.172 0.035
0.400 0.600 0.314
0.600 0.400 0.814
0.757 0.828 0.535
0.828 0.757 0.035
0.010 0.990 0.774
0.054 0.476 0.214
0.212 0.788 0.012
0.280 0.489 0.823
0.476 0.054 0.714
0.489 0.280 0.323
0.511 0.720 0.823
0.524 0.946 0.214
0.720 0.511 0.323
0.788 0.212 0.512
0.946 0.524 0.714
0.990 0.010 0.274
```

The 8 most intense peaks (2θ from 5° to 70°), sorted by position:
two_theta, d_spacing, I/Imax
26.03, 3.423, 27
29.83, 2.995, 23
30.72, 2.910, 28
31.38, 2.851, 100
31.53, 2.838, 42
31.64, 2.828, 41
32.38, 2.765, 24
35.78, 2.510, 23